No. 1
Structure and simulated X-ray diffraction stick pattern of InSn2Cl5 (DFT lattice parameters and positions (PBE); Cu Ka).
Neutral-atom scattering factors, no anomalous dispersion.

Structural model:
Cell: 8.856 8.078 12.586 Å, 90.00 90.58 90.00°
Space group P2_1/c (No. 14)
One atom of each set of equivalent atoms:
1 In 0.002 0.023 0.329
2 Sn 0.248 0.059 0.007
3 Sn 0.498 0.009 0.673
4 Cl 0.041 0.663 0.415
5 Cl 0.274 0.184 0.777
6 Cl 0.275 0.647 0.684
7 Cl 0.284 0.041 0.503
8 Cl 0.453 0.668 0.403

Main lines, low angle first (10° ≤ 2θ ≤ 80°):
2theta, intensity
22.0, 46.2
23.9, 100.0
24.0, 29.8
33.1, 36.4
33.3, 33.4
34.8, 20.6
39.8, 39.0
40.8, 26.2
48.0, 19.9
48.9, 20.0

=====

No. 2
Structure and simulated X-ray diffraction stick pattern of InSnCl3 (DFT lattice parameters and positions (PBE); Cu Ka).
Neutral-atom scattering factors, no anomalous dispersion.

Structural model:
Cell: 7.9744 7.9744 20.1164 Å, 90.00 90.00 120.00°
Space group R-3 (No. 148, hexagonal axes)
One atom of each set of equivalent atoms:
1 In 0.0000 0.0000 0.1387
2 Sn 0.0000 0.0000 0.3362
3 Cl 0.0085 0.2688 0.2565

Main lines, low angle first (10° ≤ 2θ ≤ 80°):
2theta, intensity
15.6, 73.1
21.9, 61.2
22.3, 100.0
26.0, 24.8
31.4, 50.8
35.0, 82.3
38.9, 54.4
39.1, 53.2
53.5, 22.6
61.5, 20.9

=====

No. 3
Structure and simulated X-ray diffraction stick pattern of InSnCl3 (DFT lattice parameters and positions (PBE); Cu Ka).
Neutral-atom scattering factors, no anomalous dispersion.

Structural model:
Cell: 15.566 16.747 17.132 Å, 90.00 90.00 90.00°
Space group Fmm2 (No. 42)
One atom of each set of equivalent atoms:
1 In 0.000 0.250 0.000
2 In 0.184 0.000 0.416
3 In 0.188 0.165 0.751
4 Sn 0.000 0.000 0.601
5 Sn 0.000 0.000 0.881
6 Sn 0.000 0.152 0.256
7 Sn 0.169 0.000 0.089
8 Sn 0.250 0.250 0.000
9 Cl 0.000 0.000 0.065
10 Cl 0.000 0.000 0.440
11 Cl 0.000 0.192 0.748
12 Cl 0.112 0.000 0.753
13 Cl 0.131 0.000 0.240
14 Cl 0.134 0.182 0.369
15 Cl 0.137 0.115 0.937
16 Cl 0.138 0.173 0.129
17 Cl 0.144 0.115 0.571

Main lines, low angle first (10° ≤ 2θ ≤ 80°):
2theta, intensity
23.3, 71.7
23.7, 54.8
23.8, 86.8
24.0, 100.0
31.3, 42.7
32.9, 67.3
33.1, 93.0
35.3, 47.7
35.6, 54.8
44.6, 41.5

=====

No. 4
Structure and simulated X-ray diffraction stick pattern of InSnCl3 (DFT lattice parameters and positions (PBE); Cu Ka).
Neutral-atom scattering factors, no anomalous dispersion.

Structural model:
Cell: 8.102 7.933 5.777 Å, 90.00 91.91 90.00°
Space group Cm (No. 8)
One atom of each set of equivalent atoms:
1 In 0.000 0.000 0.000
2 Sn 0.400 0.000 0.389
3 Cl 0.148 0.229 0.360
4 Cl 0.366 0.000 0.931

Main lines, low angle first (10° ≤ 2θ ≤ 80°):
2theta, intensity
15.3, 39.7
15.6, 60.1
21.7, 100.0
22.2, 49.6
22.4, 45.1
31.6, 71.6
35.2, 71.4
35.6, 39.9
44.3, 37.5
48.3, 36.0

=====

No. 5
Structure and simulated X-ray diffraction stick pattern of Ta3In2Cl9 (DFT lattice parameters and positions (PBE); Cu Ka).
Neutral-atom scattering factors, no anomalous dispersion.

Structural model:
Cell: 10.959 15.739 9.795 Å, 90.00 117.53 90.00°
Space group C2/m (No. 12)
One atom of each set of equivalent atoms:
1 Ta 0.102 0.000 0.368
2 Ta 0.130 0.092 0.639
3 In 0.106 0.348 0.837
4 Cl 0.000 0.220 0.500
5 Cl 0.035 0.110 0.821
6 Cl 0.185 0.500 0.168
7 Cl 0.202 0.289 0.178
8 Cl 0.224 0.390 0.491
9 Cl 0.234 0.000 0.204

Main lines, low angle first (10° ≤ 2θ ≤ 80°):
2theta, intensity
10.2, 41.4
10.7, 96.6
11.2, 33.4
11.5, 100.0
15.2, 29.2
17.5, 20.8
24.8, 29.2
33.8, 54.4
40.0, 21.5
41.0, 23.5

=====

No. 6
Structure and simulated X-ray diffraction stick pattern of InTeCl (DFT lattice parameters and positions (PBE); Cu Ka).
Neutral-atom scattering factors, no anomalous dispersion.

Structural model:
Cell: 7.772 14.385 7.343 Å, 90.00 92.80 90.00°
Space group P2_1/c (No. 14)
One atom of each set of equivalent atoms:
1 In 0.181 0.189 0.375
2 In 0.202 0.023 0.870
3 Te 0.154 0.002 0.255
4 Te 0.386 0.172 0.721
5 Cl 0.062 0.736 0.489
6 Cl 0.390 0.601 0.275

Main lines, low angle first (10° ≤ 2θ ≤ 80°):
2theta, intensity
13.0, 100.0
22.1, 28.4
24.3, 28.5
27.2, 43.3
27.4, 53.4
29.2, 23.6
29.7, 44.8
31.6, 25.0
42.1, 23.7
43.7, 22.8

=====

No. 7
Structure and simulated X-ray diffraction stick pattern of Ti2In3Cl9 (DFT lattice parameters and positions (PBE); Cu Ka).
Neutral-atom scattering factors, no anomalous dispersion.

Structural model:
Cell: 7.0602 7.0602 17.3966 Å, 90.00 90.00 120.00°
Space group P6_3mc (No. 186)
One atom of each set of equivalent atoms:
1 Ti 0.3333 0.6667 0.0000
2 Ti 0.3333 0.6667 0.1630
3 In 0.0000 0.0000 0.1034
4 In 0.3333 0.6667 0.4005
5 In 0.3333 0.6667 0.7696
6 Cl 0.0064 0.5032 0.0830
7 Cl 0.1730 0.3460 0.2424
8 Cl 0.1740 0.3480 0.9222

Main lines, low angle first (10° ≤ 2θ ≤ 80°):
2theta, intensity
17.7, 47.7
25.2, 80.3
29.5, 47.5
30.8, 35.4
31.0, 88.0
33.1, 100.0
35.9, 54.2
39.2, 40.1
51.8, 51.7
61.5, 35.2

=====

No. 8
Structure and simulated X-ray diffraction stick pattern of Y2InCl7 (DFT lattice parameters and positions (PBE); Cu Ka).
Neutral-atom scattering factors, no anomalous dispersion.

Structural model:
Cell: 13.231 6.986 12.712 Å, 90.00 90.00 90.00°
Space group Pnma (No. 62)
One atom of each set of equivalent atoms:
1 Y 0.237 0.250 0.035
2 Y 0.248 0.250 0.338
3 In 0.039 0.250 0.698
4 Cl 0.108 0.750 0.684
5 Cl 0.121 0.011 0.916
6 Cl 0.131 0.009 0.455
7 Cl 0.173 0.008 0.188

Main lines, low angle first (10° ≤ 2θ ≤ 80°):
2theta, intensity
13.4, 23.6
19.8, 100.0
25.5, 42.2
27.9, 20.8
33.9, 25.5
34.8, 34.9
35.7, 22.1
37.4, 37.0
38.9, 28.0
42.3, 25.3

=====

No. 9
Structure and simulated X-ray diffraction stick pattern of IrCl2 (DFT lattice parameters and positions (PBE); Cu Ka).
Neutral-atom scattering factors, no anomalous dispersion.

Structural model:
Cell: 5.658 5.658 3.762 Å, 90.00 90.00 90.00°
Space group P4_2/mnm (No. 136)
One atom of each set of equivalent atoms:
1 Ir 0.000 0.000 0.000
2 Cl 0.196 0.196 0.500

Main lines, low angle first (10° ≤ 2θ ≤ 80°):
2theta, intensity
22.2, 100.0
28.5, 75.1
31.6, 18.6
43.1, 78.9
45.3, 21.1
51.0, 16.5
53.9, 18.7
54.4, 27.9
64.3, 12.5
73.5, 13.3